Entry 1:
This entry pairs a crystal structure of NaSmO2 with its simulated powder XRD pattern. Radiation: Cu Kα (weighted mean of Kα1 and Kα2). Structure: DFT lattice parameters and positions (PBE).
No peak broadening, texture or thermal motion is included.

Top 12 peaks for 10° ≤ 2θ ≤ 90°, by intensity:
15.78 deg, d 5.615, I 100, (0 0 3)
36.29 deg, d 2.475, I 93, (1 0 4)
31.10 deg, d 2.876, I 65, (0 1 2)
29.67 deg, d 3.011, I 56, (1 0 1)
51.75 deg, d 1.767, I 32, (1 1 0)
52.78 deg, d 1.735, I 29, (0 1 8)
54.45 deg, d 1.685, I 24, (1 1 3)
39.80 deg, d 2.265, I 22, (0 1 5)
31.88 deg, d 2.807, I 21, (0 0 6)
62.07 deg, d 1.495, I 20, (1 1 6)
48.11 deg, d 1.891, I 20, (1 0 7)
64.84 deg, d 1.438, I 16, (0 2 4)

Structural model:
```
data_NaSmO2
_cell_length_a 3.5332
_cell_length_b 3.5332
_cell_length_c 16.8441
_cell_angle_alpha 90.00
_cell_angle_beta 90.00
_cell_angle_gamma 120.00
_space_group_name_H-M_alt 'P 1'
_space_group_IT_number 1
_space_group_name_Hall 'P 1'
loop_
_atom_site_label
_atom_site_type_symbol
_atom_site_fract_x
_atom_site_fract_y
_atom_site_fract_z
Na1 Na 0.0000 0.0000 0.0000
Na2 Na 0.3333 0.6667 0.6667
Na3 Na 0.6667 0.3333 0.3333
Sm1 Sm 0.0000 0.0000 0.5000
Sm2 Sm 0.3333 0.6667 0.1667
Sm3 Sm 0.6667 0.3333 0.8333
O1 O 0.0000 0.0000 0.2381
O2 O 0.0000 0.0000 0.7619
O3 O 0.3333 0.6667 0.4285
O4 O 0.3333 0.6667 0.9048
O5 O 0.6667 0.3333 0.0952
O6 O 0.6667 0.3333 0.5715
```

=====

Entry 2:
This entry pairs a crystal structure of NaSmTiO4 with its simulated powder XRD pattern. Radiation: Cu Kα (weighted mean of Kα1 and Kα2). Structure: DFT lattice parameters and positions (PBE).
No peak broadening, texture or thermal motion is included.

Top 12 peaks for 10° ≤ 2θ ≤ 90°, by intensity:
27.48 deg, d 3.246, I 100, (1 0 2)
31.57 deg, d 2.834, I 98, (1 0 3)
33.87 deg, d 2.647, I 68, (1 1 0)
48.65 deg, d 1.872, I 38, (2 0 0)
59.16 deg, d 1.562, I 33, (2 1 3)
56.78 deg, d 1.621, I 30, (2 1 2)
44.11 deg, d 2.053, I 28, (1 1 4)
49.09 deg, d 1.856, I 25, (1 1 5)
34.58 deg, d 2.594, I 20, (1 1 1)
54.71 deg, d 1.678, I 17, (1 1 6)
41.64 deg, d 2.169, I 16, (0 0 6)
65.92 deg, d 1.417, I 14, (2 0 6)

Structural model:
```
data_NaSmTiO4
_cell_length_a 3.7432
_cell_length_b 3.7432
_cell_length_c 13.0149
_cell_angle_alpha 90.00
_cell_angle_beta 90.00
_cell_angle_gamma 90.00
_space_group_name_H-M_alt 'P 1'
_space_group_IT_number 1
_space_group_name_Hall 'P 1'
loop_
_atom_site_label
_atom_site_type_symbol
_atom_site_fract_x
_atom_site_fract_y
_atom_site_fract_z
Na1 Na 0.2500 0.2500 0.0827
Na2 Na 0.7500 0.7500 0.9173
Sm1 Sm 0.2500 0.2500 0.3932
Sm2 Sm 0.7500 0.7500 0.6068
Ti1 Ti 0.2500 0.2500 0.7684
Ti2 Ti 0.7500 0.7500 0.2316
O1 O 0.2500 0.2500 0.5679
O2 O 0.2500 0.2500 0.9044
O3 O 0.2500 0.7500 0.2697
O4 O 0.2500 0.7500 0.7303
O5 O 0.7500 0.2500 0.2697
O6 O 0.7500 0.2500 0.7303
O7 O 0.7500 0.7500 0.0956
O8 O 0.7500 0.7500 0.4321
```